This entry pairs a crystal structure of Sn4Ir3Se with its computed powder diffraction line list. Radiation: λ = 1.5418 Å (Cu Kα). Structure: a DFT-relaxed cell (PBE, OQMD).
Neutral-atom scattering factors, no anomalous dispersion.

Largest 10 diffraction maxima, in order of rising 2θ, 10 to 90 degrees two-theta:
- d = 2.775 Å, 32.26°, I = 41, (1 1 0)
- d = 2.677 Å, 33.47°, I = 33, (1 1 1)
- d = 2.550 Å, 35.20°, I = 46, (0 0 4)
- d = 2.442 Å, 36.80°, I = 46, (1 1 -2)
- d = 2.433 Å, 36.94°, I = 49, (1 1 2)
- d = 2.155 Å, 41.92°, I = 100, (0 2 0)
- d = 2.145 Å, 42.12°, I = 47, (1 1 3)
- d = 1.813 Å, 50.32°, I = 21, (2 0 0)
- d = 1.646 Å, 55.84°, I = 25, (0 2 4)
- d = 1.292 Å, 73.24°, I = 28, (1 1 -7)

Cell: 3.6264 4.3117 10.1997 Å, 90.00 90.33 90.00°
Element x y z (fractional)
Sn 0.0000 0.0000 0.0000
Sn 0.0095 0.5000 0.2313
Sn 0.4245 0.0000 0.4989
Sn 0.9865 0.5000 0.7662
Ir 0.4663 0.0000 0.7948
Ir 0.4794 0.0000 0.2044
Ir 0.5436 0.5000 0.9999
Se 0.9132 0.5000 0.4984